The following is a simulated X-ray powder pattern of Sr2Zn2Ni15. It was derived from a structure optimized by DFT (GGA-PBE), using Cu Kα X-rays.

Top 10 peaks for 2θ = 15–90°, sorted by position:
d = 2.454 Å, rel. 38
d = 2.356 Å, rel. 36
d = 2.125 Å, rel. 75
d = 2.104 Å, rel. 100
d = 2.061 Å, rel. 18
d = 2.043 Å, rel. 55
d = 1.886 Å, rel. 67
d = 1.842 Å, rel. 24
d = 1.227 Å, rel. 21
d = 1.191 Å, rel. 18

Structure:
```
data_Sr2Zn2Ni15
_chemical_formula_sum 'Sr6 Zn6 Ni45'
_cell_length_a 8.5010
_cell_length_b 8.5010
_cell_length_c 12.2647
_cell_angle_alpha 90.00
_cell_angle_beta 90.00
_cell_angle_gamma 120.00
_symmetry_space_group_name_H-M 'R -3 m'
_symmetry_Int_Tables_number 166
_symmetry_space_group_name_Hall '-R 3 2"'
loop_
_atom_site_label
_atom_site_type_symbol
_atom_site_fract_x
_atom_site_fract_y
_atom_site_fract_z
Sr1 Sr 0.0000 0.0000 0.1515
Zn1 Zn 0.0000 0.0000 0.3995
Ni1 Ni 0.0000 0.2884 0.5000
Ni2 Ni 0.0000 0.5000 0.0000
Ni3 Ni 0.0074 0.5037 0.3443
```